Theoretical powder diffractogram of Cd2AgSe for Cu Kα (λ = 1.5418 Å), from a structure optimized by DFT (GGA-PBE).
Peak positions follow from Bragg's law for the DFT cell and can differ from measured ones.

Principal peaks in the range 2θ = 10–90°, most intense first:
two_theta  d/Å  I_rel
31.1  2.880  100.0
43.8  2.066  38.9
45.2  2.008  32.0
54.7  1.679  19.2
72.5  1.303  16.0
74.5  1.273  12.0
81.5  1.181  10.9
64.7  1.440  10.4
80.5  1.193  6.2
57.0  1.617  4.5

Lattice parameters (Å, degrees): 6.893 6.893 6.893 34.89 34.89 34.89
Element x y z (fractional)
Cd 0.000 0.000 0.000
Cd 0.236 0.236 0.236
Ag 0.751 0.751 0.751
Se 0.489 0.489 0.489

Theoretical powder diffractogram of CdAg8Se6 for Cu Kα (λ = 1.5418 Å), from a structure optimized by DFT (GGA-PBE).
Peak positions follow from Bragg's law for the DFT cell and can differ from measured ones.

Principal peaks in the range 2θ = 10–90°, most intense first:
two_theta  d/Å  I_rel
34.5  2.598  100.0
44.7  2.027  57.2
12.2  7.238  56.2
37.0  2.432  54.2
41.9  2.158  51.6
37.7  2.387  48.9
26.8  3.322  45.6
32.0  2.797  38.1
15.9  5.561  27.0
42.4  2.132  24.7

Lattice parameters (Å, degrees): 8.427 8.427 8.427 52.67 52.67 52.67
Element x y z (fractional)
Cd 0.000 0.000 0.000
Ag 0.118 0.633 0.822
Ag 0.178 0.882 0.367
Ag 0.367 0.178 0.882
Ag 0.415 0.415 0.415
Ag 0.585 0.585 0.585
Ag 0.633 0.822 0.118
Ag 0.822 0.118 0.633
Ag 0.882 0.367 0.178
Se 0.047 0.410 0.752
Se 0.248 0.953 0.590
Se 0.410 0.752 0.047
Se 0.590 0.248 0.953
Se 0.752 0.047 0.410
Se 0.953 0.590 0.248

Theoretical powder diffractogram of Sm2CdAg5 for Cu Kα (λ = 1.5418 Å), from a structure optimized by DFT (GGA-PBE).
Peak positions follow from Bragg's law for the DFT cell and can differ from measured ones.

Principal peaks in the range 2θ = 10–90°, most intense first:
two_theta  d/Å  I_rel
36.3  2.477  100.0
35.3  2.545  58.0
64.0  1.456  36.3
50.7  1.799  20.0
65.9  1.418  13.3
85.3  1.138  9.1
77.0  1.239  8.5
85.9  1.132  8.1
53.7  1.707  6.3
74.6  1.272  6.1

Lattice parameters (Å, degrees): 7.720 7.720 7.720 141.51 141.51 55.57
Element x y z (fractional)
Sm 0.246 0.246 0.000
Sm 0.754 0.754 0.000
Cd 0.500 0.500 0.000
Ag 0.000 0.000 0.000
Ag 0.110 0.610 0.500
Ag 0.390 0.890 0.500
Ag 0.610 0.110 0.500
Ag 0.890 0.390 0.500